The following is a calculated powder diffraction line list of ZnCuMo. It was derived from the PBE geometry in the Materials Project, using Cu Kα (λ = 1.5418 Å).

Atomic structure:
Cell lengths 5.902, 5.902, 5.902 Å; angles 90.00, 90.00, 90.00 degrees
Space group F-43m (No. 216)
Unique sites:
Zn 0.000 0.000 0.000 x4
Cu 0.000 0.000 0.500 x4
Mo 0.250 0.250 0.250 x4

The 7 most intense peaks (2θ = 5–70°), low angle first:
| index | 2θ/deg | I_rel |
| --- | --- | --- |
| 1 1 1 | 26.2 | 45 |
| 2 0 0 | 30.3 | 4 |
| 2 2 0 | 43.4 | 100 |
| 3 1 1 | 51.3 | 20 |
| 2 2 2 | 53.8 | 1 |
| 4 0 0 | 63.0 | 16 |
| 3 3 1 | 69.4 | 8 |